Starting from a cell relaxed with GGA+U, the powder diffractogram of MgCr3P4O14 was simulated for copper Kα.

Cell and atoms:
abc: 7.3273 7.9225 9.5825
angles: 90.00 108.37 90.00
Positions (direct):
1 Mg 0.0000 0.0000 0.0000
2 Mg 0.0000 0.5000 0.5000
3 Cr 0.3220 0.1372 0.4959
4 Cr 0.3220 0.3628 0.9959
5 Cr 0.5000 0.0000 0.0000
6 Cr 0.5000 0.5000 0.5000
7 Cr 0.6780 0.6372 0.0041
8 Cr 0.6780 0.8628 0.5041
9 P 0.0726 0.0531 0.7013
10 P 0.0726 0.4469 0.2013
11 P 0.3719 0.7103 0.1915
12 P 0.3719 0.7897 0.6915
13 P 0.6281 0.2103 0.3085
14 P 0.6281 0.2897 0.8085
15 P 0.9274 0.5531 0.7987
16 P 0.9274 0.9469 0.2987
17 O 0.1365 0.1931 0.6168
18 O 0.1365 0.3069 0.1168
19 O 0.1395 0.5154 0.8468
20 O 0.1395 0.9846 0.3468
21 O 0.1485 0.0817 0.8703
22 O 0.1485 0.4183 0.3703
23 O 0.1685 0.6229 0.1707
24 O 0.1685 0.8771 0.6707
25 O 0.3209 0.6168 0.6157
26 O 0.3209 0.8832 0.1157
27 O 0.4699 0.7109 0.3610
28 O 0.4699 0.7891 0.8610
29 O 0.4844 0.6007 0.1179
30 O 0.4844 0.8993 0.6179
31 O 0.5156 0.1007 0.3821
32 O 0.5156 0.3993 0.8821
33 O 0.5301 0.2109 0.1390
34 O 0.5301 0.2891 0.6390
35 O 0.6791 0.1168 0.8843
36 O 0.6791 0.3832 0.3843
37 O 0.8315 0.1229 0.3293
38 O 0.8315 0.3771 0.8293
39 O 0.8515 0.5817 0.6297
40 O 0.8515 0.9183 0.1297
41 O 0.8605 0.0154 0.6532
42 O 0.8605 0.4846 0.1532
43 O 0.8635 0.6931 0.8832
44 O 0.8635 0.8069 0.3832

Most intense lines, 2θ = 10–90°, by intensity:
| d [Å] | 2theta | I_rel |
| --- | --- | --- |
| 3.061 | 29.18 | 100.0 |
| 2.977 | 30.02 | 42.1 |
| 3.087 | 28.92 | 41.1 |
| 3.352 | 26.59 | 32.9 |
| 2.536 | 35.39 | 31.1 |
| 2.766 | 32.36 | 28.6 |
| 6.954 | 12.73 | 25.3 |
| 2.602 | 34.46 | 23.0 |
| 5.081 | 17.45 | 22.2 |
| 3.442 | 25.89 | 21.8 |



Starting from a cell relaxed with GGA+U, the powder diffractogram of MgCr2P2O10 was simulated for copper Kα.

Cell and atoms:
abc: 5.5169 5.9047 6.3535
angles: 87.74 89.92 89.92
Positions (direct):
1 Mg 0.0000 0.0000 0.0000
2 Cr 0.2194 0.3229 0.2217
3 Cr 0.6748 0.7975 0.6990
4 P 0.4047 0.3039 0.7053
5 P 0.4882 0.8081 0.2078
6 O 0.2359 0.2461 0.8951
7 O 0.2518 0.3794 0.5125
8 O 0.3053 0.0051 0.2411
9 O 0.3169 0.6180 0.1348
10 O 0.5529 0.0918 0.6481
11 O 0.5781 0.4955 0.7680
12 O 0.6398 0.7444 0.4006
13 O 0.6645 0.8668 0.0224
14 O 0.9221 0.2709 0.1909
15 O 0.9772 0.8310 0.7295

Most intense lines, 2θ = 10–90°, by intensity:
| d [Å] | 2theta | I_rel |
| --- | --- | --- |
| 4.029 | 22.06 | 100.0 |
| 4.163 | 21.34 | 52.6 |
| 3.362 | 26.52 | 40.0 |
| 3.174 | 28.11 | 33.4 |
| 5.517 | 16.07 | 32.2 |
| 2.950 | 30.30 | 25.4 |
| 1.853 | 49.18 | 16.2 |
| 2.528 | 35.51 | 15.5 |
| 2.017 | 44.94 | 12.7 |
| 3.443 | 25.88 | 12.4 |



Starting from a cell relaxed with GGA+U, the powder diffractogram of MgCrPbO3 was simulated for copper Kα.

Cell and atoms:
abc: 3.9358 3.9358 6.2293
angles: 90.00 90.00 90.00
Positions (direct):
1 Mg 0.0000 0.0000 0.0000
2 Cr 0.5000 0.5000 0.0000
3 Pb 0.0000 0.0000 0.5000
4 O 0.0000 0.5000 0.0000
5 O 0.5000 0.0000 0.0000
6 O 0.5000 0.5000 0.5000

Most intense lines, 2θ = 10–90°, by intensity:
| d [Å] | 2theta | I_rel |
| --- | --- | --- |
| 3.327 | 26.79 | 100.0 |
| 3.115 | 28.66 | 52.3 |
| 2.783 | 32.16 | 48.8 |
| 2.075 | 43.61 | 44.6 |
| 1.664 | 55.21 | 40.0 |
| 3.936 | 22.59 | 39.5 |
| 2.541 | 35.32 | 32.6 |
| 1.694 | 54.15 | 30.0 |
| 1.968 | 46.13 | 27.2 |
| 2.442 | 36.80 | 24.6 |



Starting from a cell relaxed with GGA+U, the powder diffractogram of MgCrPbO3 was simulated for copper Kα.

Cell and atoms:
abc: 3.9834 3.9834 5.8299
angles: 108.46 108.46 89.26
Positions (direct):
1 Mg 0.0000 0.0000 0.0000
2 Cr 0.5947 0.5947 0.1918
3 Pb 0.3617 0.3617 0.6040
4 O 0.0614 0.5532 0.1238
5 O 0.5532 0.0614 0.1238
6 O 0.7721 0.7721 0.6214

Most intense lines, 2θ = 10–90°, by intensity:
| d [Å] | 2theta | I_rel |
| --- | --- | --- |
| 3.761 | 23.66 | 100.0 |
| 2.579 | 34.78 | 75.6 |
| 2.663 | 33.65 | 70.8 |
| 3.680 | 24.18 | 68.5 |
| 2.798 | 31.98 | 50.4 |
| 1.990 | 45.57 | 48.3 |
| 2.611 | 34.35 | 48.0 |
| 2.832 | 31.59 | 45.0 |
| 5.221 | 16.98 | 42.2 |
| 2.466 | 36.43 | 35.2 |



Starting from a cell relaxed with GGA+U, the powder diffractogram of Pr2MgCr2O8 was simulated for copper Kα.

Cell and atoms:
abc: 6.2887 6.2887 6.3137
angles: 105.22 105.22 117.07
Positions (direct):
1 Pr 0.0000 0.0000 0.0000
2 Pr 0.7723 0.2277 0.5000
3 Mg 0.4817 0.5183 0.5000
4 Cr 0.2272 0.7728 0.5000
5 Cr 0.4963 0.5037 0.0000
6 O 0.0349 0.7441 0.6637
7 O 0.1078 0.4151 0.3452
8 O 0.1435 0.3230 0.8303
9 O 0.2559 0.9651 0.3363
10 O 0.5094 0.3472 0.2053
11 O 0.5849 0.8922 0.6548
12 O 0.6528 0.4906 0.7947
13 O 0.6770 0.8565 0.1697

Most intense lines, 2θ = 10–90°, by intensity:
| d [Å] | 2theta | I_rel |
| --- | --- | --- |
| 3.825 | 23.25 | 100.0 |
| 2.799 | 31.97 | 32.5 |
| 2.837 | 31.53 | 22.1 |
| 2.788 | 32.10 | 21.5 |
| 1.949 | 46.60 | 17.6 |
| 1.913 | 47.54 | 17.6 |
| 4.948 | 17.93 | 17.3 |
| 1.933 | 47.01 | 16.3 |
| 2.729 | 32.82 | 16.3 |
| 2.388 | 37.66 | 15.1 |



Starting from a cell relaxed with GGA+U, the powder diffractogram of PrMgCr4O12 was simulated for copper Kα.

Cell and atoms:
abc: 7.6582 5.1824 5.1824
angles: 90.36 90.00 90.00
Positions (direct):
1 Pr 0.0000 0.0000 0.0000
2 Mg 0.5000 0.4476 0.4476
3 Cr 0.2622 0.4767 0.9682
4 Cr 0.2622 0.9682 0.4767
5 Cr 0.7378 0.4767 0.9682
6 Cr 0.7378 0.9682 0.4767
7 O 0.0000 0.5150 0.9158
8 O 0.0000 0.9158 0.5150
9 O 0.2041 0.2625 0.2625
10 O 0.2544 0.1657 0.7706
11 O 0.2544 0.7706 0.1657
12 O 0.3179 0.6515 0.6515
13 O 0.5000 0.0572 0.4409
14 O 0.5000 0.4409 0.0572
15 O 0.6821 0.6515 0.6515
16 O 0.7456 0.1657 0.7706
17 O 0.7456 0.7706 0.1657
18 O 0.7959 0.2625 0.2625

Most intense lines, 2θ = 10–90°, by intensity:
| d [Å] | 2theta | I_rel |
| --- | --- | --- |
| 4.292 | 20.70 | 100.0 |
| 2.652 | 33.80 | 53.8 |
| 2.591 | 34.62 | 48.9 |
| 2.643 | 33.92 | 38.0 |
| 5.182 | 17.11 | 33.0 |
| 7.658 | 11.56 | 25.0 |
| 1.915 | 47.49 | 22.7 |
| 1.509 | 61.45 | 22.4 |
| 2.223 | 40.58 | 21.5 |
| 1.540 | 60.09 | 21.5 |



Starting from a cell relaxed with GGA+U, the powder diffractogram of RbMg6CrO8 was simulated for copper Kα.

Cell and atoms:
abc: 4.5004 4.5004 8.8430
angles: 90.00 90.00 90.00
Positions (direct):
1 Rb 0.0000 0.0000 0.0000
2 Mg 0.0000 0.0000 0.5000
3 Mg 0.0000 0.5000 0.2604
4 Mg 0.0000 0.5000 0.7396
5 Mg 0.5000 0.0000 0.2604
6 Mg 0.5000 0.0000 0.7396
7 Mg 0.5000 0.5000 0.5000
8 Cr 0.5000 0.5000 0.0000
9 O 0.0000 0.0000 0.2810
10 O 0.0000 0.0000 0.7190
11 O 0.0000 0.5000 0.0000
12 O 0.0000 0.5000 0.5000
13 O 0.5000 0.0000 0.0000
14 O 0.5000 0.0000 0.5000
15 O 0.5000 0.5000 0.2432
16 O 0.5000 0.5000 0.7568

Most intense lines, 2θ = 10–90°, by intensity:
| d [Å] | 2theta | I_rel |
| --- | --- | --- |
| 2.250 | 40.07 | 100.0 |
| 1.577 | 58.53 | 53.8 |
| 8.843 | 10.00 | 44.8 |
| 2.583 | 34.73 | 44.6 |
| 2.211 | 40.82 | 44.3 |
| 1.591 | 57.96 | 29.5 |
| 1.291 | 73.30 | 25.2 |
| 2.994 | 29.84 | 20.9 |
| 1.355 | 69.37 | 15.2 |
| 4.421 | 20.08 | 14.6 |



Starting from a cell relaxed with GGA+U, the powder diffractogram of Rb2MgCr2O14 was simulated for copper Kα.

Cell and atoms:
abc: 6.5958 14.1603 8.0095
angles: 90.00 101.18 90.00
Positions (direct):
1 Rb 0.1594 0.1586 0.3637
2 Rb 0.1594 0.3414 0.8637
3 Rb 0.8406 0.6586 0.1363
4 Rb 0.8406 0.8414 0.6363
5 Mg 0.5000 0.0000 0.0000
6 Mg 0.5000 0.5000 0.5000
7 Cr 0.2492 0.6388 0.8936
8 Cr 0.2492 0.8612 0.3936
9 Cr 0.7508 0.1388 0.6064
10 Cr 0.7508 0.3612 0.1064
11 O 0.0747 0.7219 0.8902
12 O 0.0747 0.7781 0.3902
13 O 0.1587 0.5611 0.7024
14 O 0.1587 0.9389 0.2024
15 O 0.2565 0.5711 0.0606
16 O 0.2565 0.9289 0.5606
17 O 0.2587 0.5638 0.5704
18 O 0.2587 0.9362 0.0704
19 O 0.3270 0.1338 0.9279
20 O 0.3270 0.3662 0.4279
21 O 0.3772 0.1187 0.0928
22 O 0.3772 0.3813 0.5928
23 O 0.4749 0.6805 0.8814
24 O 0.4749 0.8195 0.3814
25 O 0.5251 0.1805 0.6186
26 O 0.5251 0.3195 0.1186
27 O 0.6228 0.6187 0.4072
28 O 0.6228 0.8813 0.9072
29 O 0.6730 0.6338 0.5721
30 O 0.6730 0.8662 0.0721
31 O 0.7413 0.0638 0.9296
32 O 0.7413 0.4362 0.4296
33 O 0.7435 0.0711 0.4394
34 O 0.7435 0.4289 0.9394
35 O 0.8413 0.0611 0.7976
36 O 0.8413 0.4389 0.2976
37 O 0.9253 0.2219 0.6098
38 O 0.9253 0.2781 0.1098

Most intense lines, 2θ = 10–90°, by intensity:
| d [Å] | 2theta | I_rel |
| --- | --- | --- |
| 4.356 | 20.39 | 100.0 |
| 4.046 | 21.97 | 87.1 |
| 3.691 | 24.11 | 58.2 |
| 3.286 | 27.13 | 48.1 |
| 3.540 | 25.16 | 41.2 |
| 1.988 | 45.63 | 28.3 |
| 2.284 | 39.45 | 27.4 |
| 3.234 | 27.58 | 26.9 |
| 3.139 | 28.43 | 26.8 |
| 2.841 | 31.49 | 24.4 |



Starting from a cell relaxed with GGA+U, the powder diffractogram of RbMg6CrO8 was simulated for copper Kα.

Cell and atoms:
abc: 4.5009 4.5009 8.8552
angles: 90.00 90.00 90.00
Positions (direct):
1 Rb 0.0000 0.0000 0.0000
2 Mg 0.0000 0.5000 0.2552
3 Mg 0.0000 0.5000 0.7448
4 Mg 0.5000 0.0000 0.2552
5 Mg 0.5000 0.0000 0.7448
6 Mg 0.5000 0.5000 0.0000
7 Mg 0.5000 0.5000 0.5000
8 Cr 0.0000 0.0000 0.5000
9 O 0.0000 0.0000 0.2796
10 O 0.0000 0.0000 0.7204
11 O 0.0000 0.5000 0.0000
12 O 0.0000 0.5000 0.5000
13 O 0.5000 0.0000 0.0000
14 O 0.5000 0.0000 0.5000
15 O 0.5000 0.5000 0.2521
16 O 0.5000 0.5000 0.7479

Most intense lines, 2θ = 10–90°, by intensity:
| d [Å] | 2theta | I_rel |
| --- | --- | --- |
| 2.250 | 40.07 | 100.0 |
| 1.578 | 58.48 | 54.9 |
| 2.214 | 40.76 | 45.3 |
| 2.584 | 34.71 | 44.8 |
| 1.591 | 57.95 | 29.5 |
| 4.501 | 19.72 | 28.0 |
| 1.292 | 73.26 | 25.7 |
| 3.156 | 28.27 | 24.5 |
| 1.355 | 69.35 | 15.2 |
| 4.428 | 20.05 | 14.3 |



Starting from a cell relaxed with GGA+U, the powder diffractogram of Rb4MgU4Cr4O24 was simulated for copper Kα.

Cell and atoms:
abc: 7.2666 8.3806 10.4666
angles: 91.00 102.91 90.37
Positions (direct):
1 Rb 0.0000 0.0000 0.0000
2 Rb 0.0085 0.9953 0.5197
3 Rb 0.0339 0.5042 0.6744
4 Rb 0.0748 0.5175 0.2481
5 Mg 0.1965 0.3806 0.9631
6 U 0.5244 0.2754 0.5533
7 U 0.5242 0.7194 0.0379
8 U 0.5474 0.7821 0.6944
9 U 0.5667 0.2258 0.1942
10 Cr 0.4193 0.8958 0.3121
11 Cr 0.4459 0.1208 0.8313
12 Cr 0.6390 0.6145 0.4171
13 Cr 0.6832 0.3980 0.9257
14 O 0.1957 0.8864 0.3072
15 O 0.2287 0.1950 0.8495
16 O 0.2684 0.3165 0.5043
17 O 0.2779 0.6151 0.9812
18 O 0.2949 0.7293 0.6352
19 O 0.3073 0.2798 0.1327
20 O 0.4559 0.9598 0.1528
21 O 0.4627 0.0499 0.6634
22 O 0.4628 0.8953 0.8791
23 O 0.4836 0.6879 0.2597
24 O 0.5058 0.0987 0.3735
25 O 0.5210 0.3321 0.7716
26 O 0.5659 0.8176 0.4699
27 O 0.5702 0.4080 0.3592
28 O 0.6122 0.5489 0.5779
29 O 0.6190 0.6167 0.8682
30 O 0.6227 0.4572 0.0831
31 O 0.6292 0.1755 0.9803
32 O 0.7718 0.7827 0.1060
33 O 0.7796 0.2360 0.5997
34 O 0.8004 0.8413 0.7376
35 O 0.8213 0.1901 0.2541
36 O 0.8631 0.6340 0.4222
37 O 0.9257 0.3856 0.9395

Most intense lines, 2θ = 10–90°, by intensity:
| d [Å] | 2theta | I_rel |
| --- | --- | --- |
| 7.083 | 12.50 | 100.0 |
| 3.541 | 25.15 | 42.7 |
| 3.589 | 24.81 | 37.1 |
| 3.623 | 24.57 | 34.2 |
| 3.131 | 28.51 | 27.7 |
| 3.114 | 28.67 | 25.1 |
| 3.172 | 28.13 | 23.1 |
| 3.145 | 28.38 | 18.7 |
| 3.271 | 27.26 | 13.9 |
| 2.647 | 33.87 | 12.3 |